Record 1
Starting from a DFT-relaxed cell (PBE+U, the Materials Project), the powder diffractogram of Sr6Ti3FeO14 was computed for Cu Kα (weighted mean of Kα1 and Kα2).
Neutral-atom scattering factors, no anomalous dispersion.

Most intense lines, 10 to 80 degrees two-theta, in order of falling intensity:
2θ (°), I (rel.)
31.55, 100.0
32.15, 67.7
46.11, 48.0
56.94, 37.4
41.91, 28.5
65.87, 17.5
44.32, 16.4
55.80, 15.3
67.26, 15.0
76.51, 10.6

Cell and atoms:
```
Sr6Ti3FeO14
1.0
3.937 0.000 0.000
0.000 3.937 0.000
0.000 0.000 20.437
Sr Ti Fe O
6 3 1 14
direct
0.000 0.000 0.000
0.000 0.000 0.179
0.000 0.000 0.814
0.500 0.500 0.312
0.500 0.500 0.497
0.500 0.500 0.682
0.000 0.000 0.399
0.000 0.000 0.595
0.500 0.500 0.900
0.500 0.500 0.095
0.000 0.000 0.303
0.000 0.000 0.497
0.000 0.000 0.692
0.000 0.500 0.093
0.000 0.500 0.401
0.000 0.500 0.594
0.000 0.500 0.901
0.500 0.000 0.093
0.500 0.000 0.401
0.500 0.000 0.594
0.500 0.000 0.901
0.500 0.500 0.191
0.500 0.500 0.804
0.500 0.500 0.998
```



Record 2
Starting from a DFT-relaxed cell (PBE+U, the Materials Project), the powder diffractogram of Dy2W2O9 was computed for Cu Kα (weighted mean of Kα1 and Kα2).
Neutral-atom scattering factors, no anomalous dispersion.

Most intense lines, 10 to 80 degrees two-theta, in order of falling intensity:
2θ (°), I (rel.)
26.73, 100.0
28.26, 55.2
28.74, 46.8
29.35, 37.7
31.16, 30.1
31.59, 29.1
29.54, 28.8
35.42, 19.1
53.06, 19.1
18.76, 18.3

Cell and atoms:
```
Dy2W2O9
1.0
6.725 0.000 0.000
0.875 7.065 0.000
0.672 2.429 6.972
Dy W O
4 4 18
direct
0.116 0.282 0.378
0.348 0.741 0.845
0.652 0.259 0.155
0.884 0.718 0.622
0.229 0.266 0.943
0.341 0.791 0.366
0.659 0.209 0.634
0.771 0.734 0.057
0.005 0.769 0.906
0.134 0.639 0.378
0.167 0.504 0.751
0.184 0.913 0.537
0.236 0.071 0.831
0.315 0.429 0.091
0.356 0.068 0.210
0.460 0.304 0.462
0.465 0.734 0.141
0.535 0.266 0.859
0.540 0.696 0.538
0.644 0.932 0.790
0.685 0.571 0.909
0.764 0.929 0.169
0.816 0.087 0.463
0.833 0.496 0.249
0.866 0.361 0.622
0.995 0.231 0.094
```



Record 3
Starting from a DFT-relaxed cell (PBE+U, the Materials Project), the powder diffractogram of Ni3P4O14 was computed for Cu Kα (weighted mean of Kα1 and Kα2).
Neutral-atom scattering factors, no anomalous dispersion.

Most intense lines, 10 to 80 degrees two-theta, in order of falling intensity:
2θ (°), I (rel.)
30.03, 100.0
13.03, 95.0
17.43, 59.5
29.63, 55.1
29.18, 42.4
15.03, 35.3
33.42, 29.4
27.75, 26.3
19.76, 24.5
36.54, 22.1

Cell and atoms:
```
Ni3P4O14
1.0
7.266 0.000 0.000
0.000 7.926 0.000
-3.331 0.000 8.813
Ni P O
6 8 28
direct
0.000 0.000 0.000
0.000 0.500 0.500
0.186 0.128 0.526
0.186 0.372 0.026
0.814 0.628 0.974
0.814 0.872 0.474
0.114 0.710 0.802
0.114 0.790 0.302
0.402 0.048 0.292
0.402 0.452 0.792
0.598 0.548 0.208
0.598 0.952 0.708
0.886 0.210 0.698
0.886 0.290 0.198
0.001 0.710 0.630
0.001 0.790 0.130
0.032 0.580 0.888
0.032 0.920 0.388
0.139 0.620 0.376
0.139 0.880 0.876
0.272 0.115 0.135
0.272 0.385 0.635
0.328 0.640 0.814
0.328 0.860 0.314
0.370 0.164 0.412
0.370 0.336 0.912
0.381 0.525 0.181
0.381 0.975 0.681
0.619 0.025 0.319
0.619 0.475 0.819
0.630 0.664 0.088
0.630 0.836 0.588
0.672 0.140 0.686
0.672 0.360 0.186
0.728 0.615 0.365
0.728 0.885 0.865
0.861 0.120 0.124
0.861 0.380 0.624
0.968 0.080 0.612
0.968 0.420 0.112
0.999 0.210 0.870
0.999 0.290 0.370
```



Record 4
Starting from a DFT-relaxed cell (PBE+U, the Materials Project), the powder diffractogram of ReWO6 was computed for Cu Kα (weighted mean of Kα1 and Kα2).
Neutral-atom scattering factors, no anomalous dispersion.

Most intense lines, 10 to 80 degrees two-theta, in order of falling intensity:
2θ (°), I (rel.)
23.48, 100.0
33.45, 37.8
54.13, 27.1
48.04, 18.5
59.62, 12.2
33.29, 9.8
33.63, 9.2
60.02, 8.3
41.42, 7.8
41.14, 7.6

Cell and atoms:
```
ReWO6
1.0
5.330 0.000 0.000
0.000 5.383 0.000
-5.328 0.000 7.580
Re W O
2 2 12
direct
0.000 0.000 0.000
0.000 0.500 0.500
0.500 0.000 0.500
0.500 0.500 0.000
0.192 0.224 0.474
0.192 0.276 0.974
0.251 0.718 0.474
0.251 0.782 0.974
0.300 0.006 0.247
0.300 0.494 0.747
0.700 0.506 0.253
0.700 0.994 0.753
0.749 0.218 0.026
0.749 0.282 0.526
0.808 0.724 0.026
0.808 0.776 0.526
```



Record 5
Starting from a DFT-relaxed cell (PBE+U, the Materials Project), the powder diffractogram of MgMn5FeO12 was computed for Cu Kα (weighted mean of Kα1 and Kα2).
Neutral-atom scattering factors, no anomalous dispersion.

Most intense lines, 10 to 80 degrees two-theta, in order of falling intensity:
2θ (°), I (rel.)
17.77, 100.0
42.38, 15.3
36.99, 13.8
36.03, 12.2
35.30, 8.9
46.07, 8.8
46.70, 7.7
35.51, 7.5
47.36, 7.4
37.49, 7.3

Cell and atoms:
```
MgMn5FeO12
1.0
5.084 0.000 0.000
2.499 4.457 0.000
0.501 1.387 9.983
Mg Mn Fe O
1 5 1 12
direct
0.000 0.000 0.000
0.022 0.076 0.729
0.354 0.935 0.245
0.357 0.404 0.748
0.684 0.270 0.245
0.690 0.742 0.749
0.021 0.595 0.264
0.000 0.754 0.853
0.011 0.449 0.649
0.015 0.274 0.139
0.023 0.930 0.345
0.336 0.648 0.142
0.345 0.039 0.846
0.361 0.764 0.650
0.375 0.221 0.342
0.671 0.572 0.342
0.688 0.972 0.143
0.706 0.071 0.641
0.716 0.357 0.846
```



Record 6
Starting from a DFT-relaxed cell (PBE+U, the Materials Project), the powder diffractogram of CaLaMn2O6 was computed for Cu Kα (weighted mean of Kα1 and Kα2).
Neutral-atom scattering factors, no anomalous dispersion.

Most intense lines, 10 to 80 degrees two-theta, in order of falling intensity:
2θ (°), I (rel.)
32.76, 100.0
46.46, 35.1
32.49, 24.4
32.28, 22.7
21.37, 21.9
57.87, 21.6
14.09, 19.5
58.14, 18.4
68.66, 16.5
47.55, 15.5

Cell and atoms:
```
CaLaMn2O6
1.0
7.649 0.000 0.000
0.000 5.547 0.000
0.000 0.000 11.022
Ca La Mn O
4 4 8 24
direct
0.000 0.003 0.000
0.000 0.496 0.770
0.500 0.504 0.270
0.500 0.997 0.500
0.000 0.015 0.516
0.000 0.493 0.256
0.500 0.507 0.756
0.500 0.985 0.016
0.248 0.006 0.761
0.248 0.489 0.012
0.252 0.511 0.512
0.252 0.994 0.261
0.748 0.511 0.512
0.748 0.994 0.261
0.752 0.006 0.761
0.752 0.489 0.012
0.000 0.576 0.020
0.000 0.582 0.504
0.000 0.922 0.752
0.000 0.927 0.277
0.204 0.222 0.130
0.205 0.246 0.886
0.211 0.281 0.642
0.214 0.259 0.389
0.286 0.741 0.889
0.289 0.719 0.142
0.295 0.754 0.386
0.296 0.778 0.630
0.500 0.073 0.777
0.500 0.078 0.252
0.500 0.418 0.004
0.500 0.424 0.520
0.704 0.778 0.630
0.705 0.754 0.386
0.711 0.719 0.142
0.714 0.741 0.889
0.786 0.259 0.389
0.789 0.281 0.642
0.795 0.246 0.886
0.796 0.222 0.130
```



Record 7
Starting from a DFT-relaxed cell (PBE+U, the Materials Project), the powder diffractogram of Mn2Te3O8 was computed for Cu Kα (weighted mean of Kα1 and Kα2).
Neutral-atom scattering factors, no anomalous dispersion.

Most intense lines, 10 to 80 degrees two-theta, in order of falling intensity:
2θ (°), I (rel.)
29.25, 100.0
26.46, 92.1
17.49, 78.6
21.55, 59.7
31.22, 40.8
29.48, 35.2
35.82, 27.6
18.64, 27.5
39.80, 27.2
55.70, 24.9

Cell and atoms:
```
Mn2Te3O8
1.0
6.553 -2.754 0.000
6.553 2.754 0.000
-1.640 0.000 11.943
Mn Te O
4 6 16
direct
0.034 0.426 0.351
0.426 0.034 0.851
0.574 0.966 0.149
0.966 0.574 0.649
0.045 0.677 0.942
0.135 0.865 0.250
0.323 0.955 0.558
0.677 0.045 0.442
0.865 0.135 0.750
0.955 0.323 0.058
0.000 0.152 0.354
0.000 0.848 0.646
0.002 0.232 0.642
0.152 0.000 0.854
0.162 0.445 0.812
0.232 0.002 0.142
0.249 0.277 0.028
0.277 0.249 0.528
0.445 0.162 0.312
0.555 0.838 0.688
0.723 0.751 0.472
0.751 0.723 0.972
0.768 0.998 0.858
0.838 0.555 0.188
0.848 0.000 0.146
0.998 0.768 0.358
```



Number 1 is which compound?
Sr6Ti3FeO14